Record 1
The following is a theoretical PXRD pattern of ZrVH2. It was derived from a PBE-relaxed structure, using Cu Kα.

Largest 6 diffraction maxima, in order of rising 2θ, 2θ = 10–90°:
| two_theta | Rel. int. |
| --- | --- |
| 27.79 | 342 |
| 33.72 | 445 |
| 34.19 | 248 |
| 34.75 | 548 |
| 35.10 | 1000 |
| 46.22 | 347 |

Crystal structure
```
data_ZrVH2
_cell_length_a 5.2722
_cell_length_b 2.9644
_cell_length_c 5.4721
_cell_angle_alpha 90.00
_cell_angle_beta 106.56
_cell_angle_gamma 90.00
_symmetry_space_group_name_H-M 'P 1'
_symmetry_Int_Tables_number 1
loop_
_symmetry_equiv_pos_as_xyz
'x,y,z'
loop_
_atom_site_label
_atom_site_fract_x
_atom_site_fract_y
_atom_site_fract_z
Zr1 0.1880 0.2500 0.3076
Zr2 0.8120 0.7500 0.6924
V1 0.3448 0.2500 0.8481
V2 0.6552 0.7500 0.1519
H1 0.1983 0.7500 0.6106
H2 0.2791 0.7500 0.0410
H3 0.7209 0.2500 0.9590
H4 0.8017 0.2500 0.3894
```

=====

Record 2
The following is a theoretical PXRD pattern of TmMnCrSi2. It was derived from a PBE-relaxed structure, using Cu Kα.

Largest 6 diffraction maxima, in order of rising 2θ, 2θ = 10–90°:
| two_theta | Rel. int. |
| --- | --- |
| 24.42 | 557 |
| 34.73 | 793 |
| 36.98 | 1000 |
| 46.65 | 355 |
| 49.90 | 247 |
| 59.44 | 406 |

Crystal structure
```
data_TmMnCrSi2
_cell_length_a 3.8942
_cell_length_b 3.8942
_cell_length_c 10.3477
_cell_angle_alpha 90.00
_cell_angle_beta 90.00
_cell_angle_gamma 90.00
_symmetry_space_group_name_H-M 'P 1'
_symmetry_Int_Tables_number 1
loop_
_symmetry_equiv_pos_as_xyz
'x,y,z'
loop_
_atom_site_label
_atom_site_fract_x
_atom_site_fract_y
_atom_site_fract_z
Tm1 0.0000 0.0000 0.0000
Tm2 0.5000 0.5000 0.5000
Mn1 0.0000 0.5000 0.7500
Mn2 0.5000 0.0000 0.2500
Cr1 0.0000 0.5000 0.2500
Cr2 0.5000 0.0000 0.7500
Si1 0.0000 0.0000 0.3820
Si2 0.0000 0.0000 0.6180
Si3 0.5000 0.5000 0.1180
Si4 0.5000 0.5000 0.8820
```

=====

Record 3
The following is a theoretical PXRD pattern of La5C2Cl9. It was derived from a PBE-relaxed structure, using Cu Kα.

Largest 6 diffraction maxima, in order of rising 2θ, 2θ = 10–90°:
| two_theta | Rel. int. |
| --- | --- |
| 11.57 | 360 |
| 23.84 | 263 |
| 29.36 | 1000 |
| 30.67 | 361 |
| 33.39 | 379 |
| 36.40 | 319 |

Crystal structure
```
data_La5C2Cl9
_cell_length_a 8.6982
_cell_length_b 8.7575
_cell_length_c 12.2420
_cell_angle_alpha 84.03
_cell_angle_beta 85.43
_cell_angle_gamma 61.45
_symmetry_space_group_name_H-M 'P 1'
_symmetry_Int_Tables_number 1
loop_
_symmetry_equiv_pos_as_xyz
'x,y,z'
loop_
_atom_site_label
_atom_site_fract_x
_atom_site_fract_y
_atom_site_fract_z
La1 0.1032 0.2011 0.0027
La2 0.1306 0.7650 0.2688
La3 0.2027 0.1857 0.4972
La4 0.2295 0.4230 0.7423
La5 0.3887 0.9054 0.7808
La6 0.6113 0.0946 0.2192
La7 0.7705 0.5770 0.2577
La8 0.7973 0.8143 0.5028
La9 0.8694 0.2350 0.7312
La10 0.8968 0.7989 0.9973
C1 0.1419 0.1969 0.8106
C2 0.1692 0.1893 0.6904
C3 0.8308 0.8107 0.3096
C4 0.8581 0.8031 0.1894
Cl1 0.0000 0.0000 0.5000
Cl2 0.0763 0.8439 0.7737
Cl3 0.1583 0.3725 0.2620
Cl4 0.1773 0.5491 0.5065
Cl5 0.2142 0.8285 0.0343
Cl6 0.2160 0.4599 0.9751
Cl7 0.4010 0.9067 0.2771
Cl8 0.4564 0.8309 0.5547
Cl9 0.4909 0.4824 0.2311
Cl10 0.5000 0.0000 0.0000
Cl11 0.5091 0.5176 0.7689
Cl12 0.5436 0.1691 0.4453
Cl13 0.5990 0.0933 0.7229
Cl14 0.7840 0.5401 0.0249
Cl15 0.7858 0.1715 0.9657
Cl16 0.8227 0.4509 0.4935
Cl17 0.8417 0.6275 0.7380
Cl18 0.9237 0.1561 0.2263
```

=====

Record 4
The following is a theoretical PXRD pattern of Ho8H. It was derived from a PBE-relaxed structure, using Cu Kα.

Largest 6 diffraction maxima, in order of rising 2θ, 2θ = 10–90°:
| two_theta | Rel. int. |
| --- | --- |
| 28.67 | 238 |
| 31.97 | 239 |
| 32.91 | 1000 |
| 50.79 | 198 |
| 57.58 | 203 |
| 61.28 | 225 |

Crystal structure
```
data_Ho8H
_cell_length_a 7.1910
_cell_length_b 7.1910
_cell_length_c 5.5987
_cell_angle_alpha 90.00
_cell_angle_beta 90.00
_cell_angle_gamma 120.00
_symmetry_space_group_name_H-M 'P 1'
_symmetry_Int_Tables_number 1
loop_
_symmetry_equiv_pos_as_xyz
'x,y,z'
loop_
_atom_site_label
_atom_site_fract_x
_atom_site_fract_y
_atom_site_fract_z
Ho1 0.1653 0.3307 0.2487
Ho2 0.1653 0.8347 0.2487
Ho3 0.3307 0.1653 0.7513
Ho4 0.3333 0.6667 0.7416
Ho5 0.6667 0.3333 0.2584
Ho6 0.6693 0.8347 0.2487
Ho7 0.8347 0.1653 0.7513
Ho8 0.8347 0.6693 0.7513
H1 0.0000 0.0000 0.5000
```

=====

Record 5
The following is a theoretical PXRD pattern of Tb6Os2Ru. It was derived from a PBE-relaxed structure, using Cu Kα.

Largest 6 diffraction maxima, in order of rising 2θ, 2θ = 10–90°:
| two_theta | Rel. int. |
| --- | --- |
| 13.36 | 369 |
| 33.20 | 1000 |
| 37.31 | 559 |
| 43.25 | 474 |
| 64.69 | 294 |
| 71.39 | 215 |

Crystal structure
```
data_Tb6Os2Ru
_cell_length_a 9.8092
_cell_length_b 7.6245
_cell_length_c 7.0494
_cell_angle_alpha 83.80
_cell_angle_beta 50.60
_cell_angle_gamma 45.60
_symmetry_space_group_name_H-M 'P 1'
_symmetry_Int_Tables_number 1
loop_
_symmetry_equiv_pos_as_xyz
'x,y,z'
loop_
_atom_site_label
_atom_site_fract_x
_atom_site_fract_y
_atom_site_fract_z
Tb1 0.1253 0.8747 0.1253
Tb2 0.2077 0.4584 0.5416
Tb3 0.4584 0.2077 0.7923
Tb4 0.5416 0.7923 0.2077
Tb5 0.7923 0.5416 0.4584
Tb6 0.8747 0.1253 0.8747
Os1 0.1661 0.1661 0.8339
Os2 0.8339 0.8339 0.1661
Ru1 0.5000 0.5000 0.5000
```

=====

Record 6
The following is a theoretical PXRD pattern of Nd2ThS4. It was derived from a PBE-relaxed structure, using Cu Kα.

Largest 6 diffraction maxima, in order of rising 2θ, 2θ = 10–90°:
| two_theta | Rel. int. |
| --- | --- |
| 24.05 | 1000 |
| 24.35 | 360 |
| 27.02 | 293 |
| 30.82 | 367 |
| 33.01 | 566 |
| 41.48 | 319 |

Crystal structure
```
data_Nd2ThS4
_cell_length_a 7.0301
_cell_length_b 7.0301
_cell_length_c 13.2736
_cell_angle_alpha 90.00
_cell_angle_beta 90.00
_cell_angle_gamma 147.25
_symmetry_space_group_name_H-M 'P 1'
_symmetry_Int_Tables_number 1
loop_
_symmetry_equiv_pos_as_xyz
'x,y,z'
loop_
_atom_site_label
_atom_site_fract_x
_atom_site_fract_y
_atom_site_fract_z
Nd1 0.1336 0.8664 0.5695
Nd2 0.1336 0.8664 0.9305
Nd3 0.8664 0.1336 0.0695
Nd4 0.8664 0.1336 0.4305
Th1 0.3730 0.6270 0.7500
Th2 0.6270 0.3730 0.2500
S1 0.0207 0.9793 0.7500
S2 0.2230 0.7770 0.1269
S3 0.2230 0.7770 0.3731
S4 0.5000 0.5000 0.0000
S5 0.5000 0.5000 0.5000
S6 0.7770 0.2230 0.6269
S7 0.7770 0.2230 0.8731
S8 0.9793 0.0207 0.2500
```

=====

Record 7
The following is a theoretical PXRD pattern of AcLaIN. It was derived from a PBE-relaxed structure, using Cu Kα.

Largest 6 diffraction maxima, in order of rising 2θ, 2θ = 10–90°:
| two_theta | Rel. int. |
| --- | --- |
| 26.49 | 535 |
| 30.08 | 908 |
| 32.06 | 1000 |
| 32.90 | 333 |
| 46.24 | 292 |
| 57.91 | 270 |

Crystal structure
```
data_AcLaIN
_cell_length_a 6.8078
_cell_length_b 3.9160
_cell_length_c 8.4748
_cell_angle_alpha 90.00
_cell_angle_beta 105.49
_cell_angle_gamma 90.00
_symmetry_space_group_name_H-M 'P 1'
_symmetry_Int_Tables_number 1
loop_
_symmetry_equiv_pos_as_xyz
'x,y,z'
loop_
_atom_site_label
_atom_site_fract_x
_atom_site_fract_y
_atom_site_fract_z
Ac1 0.0000 0.0000 0.0000
Ac2 0.5000 0.5000 0.0000
La1 0.2832 0.5000 0.3471
La2 0.7832 0.0000 0.3471
I1 0.2205 0.0000 0.6619
I2 0.7205 0.5000 0.6619
N1 0.3996 0.0000 0.1975
N2 0.8996 0.5000 0.1975
```

=====

Record 8
The following is a theoretical PXRD pattern of CdIn2Sn2Pb. It was derived from a PBE-relaxed structure, using Cu Kα.

Largest 6 diffraction maxima, in order of rising 2θ, 2θ = 10–90°:
| two_theta | Rel. int. |
| --- | --- |
| 29.08 | 835 |
| 30.23 | 550 |
| 30.45 | 406 |
| 31.68 | 1000 |
| 36.02 | 486 |
| 38.12 | 523 |

Crystal structure
```
data_CdIn2Sn2Pb
_cell_length_a 4.7213
_cell_length_b 9.5532
_cell_length_c 7.5830
_cell_angle_alpha 90.00
_cell_angle_beta 90.00
_cell_angle_gamma 90.00
_symmetry_space_group_name_H-M 'P 1'
_symmetry_Int_Tables_number 1
loop_
_symmetry_equiv_pos_as_xyz
'x,y,z'
loop_
_atom_site_label
_atom_site_fract_x
_atom_site_fract_y
_atom_site_fract_z
Cd1 0.0000 0.1911 0.0000
Cd2 0.0000 0.8089 0.5000
In1 0.0000 0.4212 0.3998
In2 0.0000 0.5788 0.8998
In3 0.5000 0.3139 0.7142
In4 0.5000 0.6861 0.2142
Sn1 0.0000 0.1220 0.6043
Sn2 0.0000 0.8780 0.1043
Sn3 0.5000 0.3766 0.1112
Sn4 0.5000 0.6234 0.6112
Pb1 0.5000 0.0773 0.3061
Pb2 0.5000 0.9227 0.8061
```

=====

Record 9
The following is a theoretical PXRD pattern of PmBi2TeO8. It was derived from a PBE-relaxed structure, using Cu Kα.

Largest 6 diffraction maxima, in order of rising 2θ, 2θ = 10–90°:
| two_theta | Rel. int. |
| --- | --- |
| 24.26 | 544 |
| 24.49 | 553 |
| 30.91 | 1000 |
| 34.74 | 310 |
| 47.05 | 380 |
| 47.31 | 397 |

Crystal structure
```
data_PmBi2TeO8
_cell_length_a 5.1644
_cell_length_b 5.1644
_cell_length_c 6.9846
_cell_angle_alpha 90.00
_cell_angle_beta 90.00
_cell_angle_gamma 90.53
_symmetry_space_group_name_H-M 'P 1'
_symmetry_Int_Tables_number 1
loop_
_symmetry_equiv_pos_as_xyz
'x,y,z'
loop_
_atom_site_label
_atom_site_fract_x
_atom_site_fract_y
_atom_site_fract_z
Pm1 0.0000 0.0000 0.0000
Bi1 0.5000 0.5000 0.2551
Bi2 0.5000 0.5000 0.7449
Te1 0.0000 0.0000 0.5000
O1 0.1799 0.1799 0.2871
O2 0.1799 0.1799 0.7129
O3 0.2670 0.7330 0.5000
O4 0.3163 0.6837 0.0000
O5 0.6837 0.3163 0.0000
O6 0.7330 0.2670 0.5000
O7 0.8201 0.8201 0.2871
O8 0.8201 0.8201 0.7129
```

=====

Record 10
The following is a theoretical PXRD pattern of Pr2H6PdRh. It was derived from a PBE-relaxed structure, using Cu Kα.

Largest 6 diffraction maxima, in order of rising 2θ, 2θ = 10–90°:
| two_theta | Rel. int. |
| --- | --- |
| 33.28 | 511 |
| 33.55 | 1000 |
| 47.69 | 96 |
| 59.59 | 190 |
| 59.71 | 189 |
| 60.16 | 184 |

Crystal structure
```
data_Pr2H6PdRh
_cell_length_a 5.3839
_cell_length_b 5.3477
_cell_length_c 5.3379
_cell_angle_alpha 60.51
_cell_angle_beta 59.84
_cell_angle_gamma 59.65
_symmetry_space_group_name_H-M 'P 1'
_symmetry_Int_Tables_number 1
loop_
_symmetry_equiv_pos_as_xyz
'x,y,z'
loop_
_atom_site_label
_atom_site_fract_x
_atom_site_fract_y
_atom_site_fract_z
Pr1 0.2500 0.2500 0.2500
Pr2 0.7500 0.7500 0.7500
H1 0.2383 0.2383 0.7617
H2 0.2386 0.7614 0.2386
H3 0.2402 0.7598 0.7598
H4 0.7598 0.2402 0.2402
H5 0.7614 0.2386 0.7614
H6 0.7617 0.7617 0.2383
Pd1 0.5000 0.5000 0.5000
Rh1 0.0000 0.0000 0.0000
```

=====

Record 11
The following is a theoretical PXRD pattern of SO3. It was derived from a PBE-relaxed structure, using Cu Kα.

Largest 6 diffraction maxima, in order of rising 2θ, 2θ = 10–90°:
| two_theta | Rel. int. |
| --- | --- |
| 14.55 | 775 |
| 19.18 | 1000 |
| 19.71 | 868 |
| 25.78 | 689 |
| 29.36 | 919 |
| 36.27 | 370 |

Crystal structure
```
data_SO3
_cell_length_a 6.4820
_cell_length_b 4.1790
_cell_length_c 9.8545
_cell_angle_alpha 90.00
_cell_angle_beta 110.08
_cell_angle_gamma 90.00
_symmetry_space_group_name_H-M 'P 1'
_symmetry_Int_Tables_number 1
loop_
_symmetry_equiv_pos_as_xyz
'x,y,z'
loop_
_atom_site_label
_atom_site_fract_x
_atom_site_fract_y
_atom_site_fract_z
S1 0.1709 0.0247 0.2923
S2 0.1709 0.4753 0.7923
S3 0.8291 0.5247 0.2077
S4 0.8291 0.9753 0.7077
O1 0.0041 0.2258 0.6750
O2 0.0041 0.2742 0.1750
O3 0.2696 0.1808 0.4267
O4 0.2696 0.3192 0.9267
O5 0.2828 0.6310 0.7101
O6 0.2828 0.8690 0.2102
O7 0.7172 0.1310 0.7899
O8 0.7172 0.3690 0.2898
O9 0.7304 0.6808 0.0733
O10 0.7304 0.8192 0.5733
O11 0.9959 0.7258 0.8250
O12 0.9959 0.7742 0.3250
```

=====

Record 12
The following is a theoretical PXRD pattern of LaY4Tm10. It was derived from a PBE-relaxed structure, using Cu Kα.

Largest 6 diffraction maxima, in order of rising 2θ, 2θ = 10–90°:
| two_theta | Rel. int. |
| --- | --- |
| 21.89 | 470 |
| 29.47 | 767 |
| 31.14 | 991 |
| 35.61 | 1000 |
| 42.18 | 358 |
| 45.74 | 370 |

Crystal structure
```
data_LaY4Tm10
_cell_length_a 9.6336
_cell_length_b 9.6336
_cell_length_c 9.6336
_cell_angle_alpha 96.41
_cell_angle_beta 96.41
_cell_angle_gamma 140.95
_symmetry_space_group_name_H-M 'P 1'
_symmetry_Int_Tables_number 1
loop_
_symmetry_equiv_pos_as_xyz
'x,y,z'
loop_
_atom_site_label
_atom_site_fract_x
_atom_site_fract_y
_atom_site_fract_z
La1 0.0000 0.0000 0.0000
Y1 0.3246 0.5675 0.8921
Y2 0.4325 0.3246 0.7571
Y3 0.5675 0.6754 0.2429
Y4 0.6754 0.4325 0.1079
Tm1 0.0417 0.8800 0.4205
Tm2 0.1200 0.5404 0.1617
Tm3 0.2500 0.7500 0.5000
Tm4 0.3788 0.9583 0.8383
Tm5 0.4596 0.6212 0.5795
Tm6 0.5404 0.3788 0.4205
Tm7 0.6212 0.0417 0.1617
Tm8 0.7500 0.2500 0.5000
Tm9 0.8800 0.4596 0.8383
Tm10 0.9583 0.1200 0.5795
```